Record 1
Calculated powder diffractogram of MgBi4Mo2O12 for Cu Ka, from a cell relaxed with GGA+U.
No peak broadening, texture or thermal motion is included.

Structure:
a b c (Å): 9.1470 9.1470 5.5758
angles (deg): 90.16 90.16 36.36
Atoms (fractional coordinates):
Mg (0.0000, 0.0000, 0.0000)
Bi (0.1820, 0.1820, 0.0204)
Bi (0.3278, 0.3278, 0.5394)
Bi (0.6722, 0.6722, 0.4606)
Bi (0.8181, 0.8181, 0.9796)
Mo (0.0000, 0.0000, 0.5000)
Mo (0.5000, 0.5000, 0.0000)
O (0.0060, 0.5003, 0.7493)
O (0.0993, 0.0993, 0.3606)
O (0.2043, 0.7281, 0.2354)
O (0.2719, 0.7957, 0.7646)
O (0.3977, 0.3977, 0.8784)
O (0.5003, 0.0060, 0.7493)
O (0.4997, 0.9940, 0.2507)
O (0.6023, 0.6023, 0.1216)
O (0.7281, 0.2043, 0.2354)
O (0.7957, 0.2719, 0.7646)
O (0.9007, 0.9007, 0.6394)
O (0.9940, 0.4997, 0.2507)

Peak list (10 most intense, 2θ from 10° to 90°, sorted by position)
d [Å]  Position (°2θ)  Rel. int.
8.690  10.18  16
3.285  27.14  100
2.897  30.87  15
2.854  31.34  19
2.788  32.11  13
2.621  34.21  14
2.033  44.57  14
1.994  45.48  17
1.738  52.66  14
1.720  53.27  16

---

Record 2
Calculated powder diffractogram of Li9Mn7O16 for Cu Ka, from a cell relaxed with GGA+U.
No peak broadening, texture or thermal motion is included.

Structure:
a b c (Å): 5.0776 5.1080 12.0471
angles (deg): 78.30 81.51 79.09
Atoms (fractional coordinates):
Li (0.0000, 0.0000, 0.0000)
Li (0.2316, 0.4344, 0.0548)
Li (0.2413, 0.1835, 0.3029)
Li (0.2437, 0.9324, 0.5544)
Li (0.2481, 0.6876, 0.8181)
Li (0.7519, 0.3124, 0.1819)
Li (0.7563, 0.0676, 0.4456)
Li (0.7587, 0.8165, 0.6971)
Li (0.7684, 0.5656, 0.9452)
Mn (0.0000, 0.5000, 0.5000)
Mn (0.0084, 0.2540, 0.7626)
Mn (0.4934, 0.6227, 0.3700)
Mn (0.4968, 0.8687, 0.1164)
Mn (0.5032, 0.1313, 0.8836)
Mn (0.5066, 0.3773, 0.6300)
Mn (0.9916, 0.7460, 0.2374)
O (0.1332, 0.0634, 0.1590)
O (0.1341, 0.8200, 0.4104)
O (0.1444, 0.5719, 0.6629)
O (0.1563, 0.3373, 0.9084)
O (0.3569, 0.5519, 0.2094)
O (0.3645, 0.3006, 0.4657)
O (0.3865, 0.0606, 0.7385)
O (0.3965, 0.8083, 0.9772)
O (0.6036, 0.1917, 0.0228)
O (0.6135, 0.9394, 0.2615)
O (0.6355, 0.6994, 0.5343)
O (0.6431, 0.4481, 0.7906)
O (0.8437, 0.6627, 0.0916)
O (0.8556, 0.4281, 0.3371)
O (0.8659, 0.1800, 0.5896)
O (0.8668, 0.9366, 0.8410)

Peak list (10 most intense, 2θ from 10° to 90°, sorted by position)
d [Å]  Position (°2θ)  Rel. int.
4.872  18.21  100
2.658  33.72  17
2.477  36.27  12
2.467  36.42  12
2.238  40.30  34
2.041  44.37  54
1.514  61.22  8
1.511  61.35  8
1.505  61.62  8
1.503  61.73  8

---

Record 3
Calculated powder diffractogram of LiVFeP2O8F2 for Cu Ka, from a cell relaxed with GGA+U.
No peak broadening, texture or thermal motion is included.

Structure:
a b c (Å): 5.1571 5.3544 7.3853
angles (deg): 109.58 105.79 97.37
Atoms (fractional coordinates):
Li (0.0000, 0.0000, 0.0000)
V (0.0740, 0.4323, 0.8204)
Fe (0.5828, 0.9346, 0.3303)
P (0.5100, 0.5512, 0.5835)
P (0.6375, 0.3197, 0.0671)
O (0.3185, 0.2309, 0.9509)
O (0.3386, 0.5645, 0.7336)
O (0.4329, 0.2583, 0.4271)
O (0.4386, 0.7579, 0.4900)
O (0.7268, 0.1129, 0.1607)
O (0.7280, 0.6174, 0.2163)
O (0.8006, 0.2852, 0.9104)
O (0.8202, 0.6448, 0.7272)
F (0.2133, 0.7583, 0.0820)
F (0.9365, 0.1183, 0.5673)

Peak list (10 most intense, 2θ from 10° to 90°, sorted by position)
d [Å]  Position (°2θ)  Rel. int.
4.947  17.93  51
4.815  18.43  53
4.711  18.84  68
3.943  22.55  34
3.375  26.41  80
3.348  26.63  98
3.325  26.81  33
3.050  29.28  100
2.459  36.54  36
1.674  54.86  30

---

Record 4
Calculated powder diffractogram of MgCoF6 for Cu Ka, from a cell relaxed with GGA+U.
No peak broadening, texture or thermal motion is included.

Structure:
a b c (Å): 5.3906 5.3906 5.3906
angles (deg): 58.21 58.21 58.21
Atoms (fractional coordinates):
Mg (0.0000, 0.0000, 0.0000)
Co (0.5000, 0.5000, 0.5000)
F (0.1734, 0.7391, 0.3462)
F (0.2609, 0.6538, 0.8266)
F (0.3462, 0.1734, 0.7391)
F (0.6538, 0.8266, 0.2609)
F (0.7391, 0.3462, 0.1734)
F (0.8266, 0.2609, 0.6538)

Peak list (10 most intense, 2θ from 10° to 90°, sorted by position)
d [Å]  Position (°2θ)  Rel. int.
4.460  19.91  7
4.301  20.65  19
3.758  23.68  100
2.693  33.27  11
2.260  39.88  23
1.879  48.45  24
1.699  53.98  24
1.663  55.25  13
1.514  61.23  7
1.238  77.04  7

---

Record 5
Calculated powder diffractogram of LaMgTaCrO6 for Cu Ka, from a cell relaxed with GGA+U.
No peak broadening, texture or thermal motion is included.

Structure:
a b c (Å): 5.3409 5.5378 10.0766
angles (deg): 90.00 121.50 90.00
Atoms (fractional coordinates):
La (0.0000, 0.2030, 0.0000)
La (0.0000, 0.7970, 0.5000)
Mg (0.4366, 0.3028, 0.4846)
Mg (0.4366, 0.6972, 0.9846)
Ta (0.7258, 0.2568, 0.2475)
Ta (0.7258, 0.7432, 0.7475)
Cr (0.2379, 0.2452, 0.7504)
Cr (0.2379, 0.7548, 0.2504)
O (0.0213, 0.4730, 0.8260)
O (0.0213, 0.5270, 0.3260)
O (0.0865, 0.0579, 0.3063)
O (0.0865, 0.9421, 0.8063)
O (0.3817, 0.4649, 0.1900)
O (0.3817, 0.5351, 0.6900)
O (0.4634, 0.0467, 0.6629)
O (0.4634, 0.9533, 0.1629)
O (0.6145, 0.3301, 0.0288)
O (0.6145, 0.6699, 0.5288)
O (0.7737, 0.2017, 0.4540)
O (0.7737, 0.7983, 0.9540)

Peak list (10 most intense, 2θ from 10° to 90°, sorted by position)
d [Å]  Position (°2θ)  Rel. int.
4.655  19.07  70
4.518  19.65  37
2.874  31.12  100
2.856  31.32  88
2.769  32.33  35
2.670  33.56  32
2.321  38.80  22
2.148  42.07  25
1.922  47.29  35
1.697  54.04  24